This entry pairs a crystal structure of HgIF3 with its calculated powder X-ray diffraction pattern. Radiation: a wavelength of 1.5418 Å. Structure: DFT lattice parameters and positions (GGA-PBE).
Lines closer than 0.1° are merged.

Structure:
```
data_HgIF3
_cell_length_a 4.0038
_cell_length_b 8.1792
_cell_length_c 12.7286
_cell_angle_alpha 90.00
_cell_angle_beta 93.33
_cell_angle_gamma 90.00
_symmetry_space_group_name_H-M 'P 1'
_symmetry_Int_Tables_number 1
_symmetry_space_group_name_Hall 'P 1'
loop_
_atom_site_label
_atom_site_fract_x
_atom_site_fract_y
_atom_site_fract_z
_atom_site_occupancy
Hg1 0.2414 0.1227 0.4090 1
Hg2 0.2414 0.8773 0.9090 1
Hg3 0.7586 0.1227 0.0910 1
Hg4 0.7586 0.8773 0.5910 1
I1 0.2367 0.4703 0.6688 1
I2 0.2367 0.5297 0.1688 1
I3 0.7633 0.4703 0.8312 1
I4 0.7633 0.5297 0.3312 1
F1 0.2190 0.1049 0.1763 1
F2 0.2190 0.8951 0.6763 1
F3 0.2670 0.4663 0.4214 1
F4 0.2670 0.5337 0.9214 1
F5 0.3771 0.1602 0.9696 1
F6 0.3771 0.8398 0.4696 1
F7 0.6229 0.1602 0.5304 1
F8 0.6229 0.8398 0.0304 1
F9 0.7330 0.4663 0.0786 1
F10 0.7330 0.5337 0.5786 1
F11 0.7810 0.1049 0.3237 1
F12 0.7810 0.8951 0.8237 1
```

Peak list (10 most intense, 2θ = 10–90°, by angle)
| 2θ (°) | intensity | hkl |
| --- | --- | --- |
| 12.9 | 57 | 0 1 1 |
| 17.7 | 88 | 0 1 2 |
| 22.8 | 95 | 0 2 1 |
| 23.7 | 59 | 0 1 3 |
| 27.9 | 100 | 1 1 -2 |
| 29.2 | 90 | 1 1 2 |
| 30.4 | 56 | 0 2 3 |
| 32.9 | 62 | 0 3 0 |
| 35.0 | 79 | 1 0 -4 |
| 37.2 | 46 | 1 0 4 |